This entry pairs a crystal structure of Pm4Dy6Ho19 with its computed powder diffractogram. Radiation: a wavelength of 1.5418 Å. Structure: the PBE geometry in Alexandria.

Main lines, by angle (2θ from 5° to 70°):
- d 3.320, I = 49.6
- d 3.106, I = 63.0
- d 2.928, I = 100.0
- d 2.649, I = 18.0
- d 2.536, I = 43.0
- d 2.436, I = 74.0
- d 2.131, I = 21.4
- d 1.691, I = 25.8
- d 1.529, I = 29.5
- d 1.507, I = 22.0

Crystal structure
Lattice parameters (Å, degrees): 10.7588 10.7588 10.7588 109.47 109.47 109.47
Fractional positions:
1 Pm 0.0000 0.0000 0.3594
2 Pm 0.0000 0.3594 0.0000
3 Pm 0.3594 0.0000 0.0000
4 Pm 0.6406 0.6406 0.6406
5 Dy 0.1262 0.5000 0.6262
6 Dy 0.3738 0.8738 0.5000
7 Dy 0.5000 0.3738 0.8738
8 Dy 0.5000 0.6262 0.1262
9 Dy 0.6262 0.1262 0.5000
10 Dy 0.8738 0.5000 0.3738
11 Ho 0.0000 0.0000 0.0000
12 Ho 0.0000 0.2610 0.2610
13 Ho 0.0000 0.7390 0.7390
14 Ho 0.0144 0.2153 0.6748
15 Ho 0.2009 0.9856 0.6604
16 Ho 0.2153 0.6748 0.0144
17 Ho 0.2610 0.0000 0.2610
18 Ho 0.2610 0.2610 0.0000
19 Ho 0.3252 0.5405 0.3396
20 Ho 0.3396 0.3252 0.5405
21 Ho 0.4595 0.7847 0.7991
22 Ho 0.5405 0.3396 0.3252
23 Ho 0.6604 0.2009 0.9856
24 Ho 0.6748 0.0144 0.2153
25 Ho 0.7390 0.0000 0.7390
26 Ho 0.7390 0.7390 0.0000
27 Ho 0.7847 0.7991 0.4595
28 Ho 0.7991 0.4595 0.7847
29 Ho 0.9856 0.6604 0.2009